1.
For NaAgIF, a cell relaxed with GGA-PBE gives the calculated X-ray powder pattern in this record (a wavelength of 1.5418 Å).
Intensities are scaled so that the largest is 100.

Principal peaks in the range 2θ = 5–70°, low angle first:
| Position (°2θ) | I (rel.) |
| --- | --- |
| 6.43 | 35 |
| 12.88 | 60 |
| 24.57 | 22 |
| 24.86 | 26 |
| 26.79 | 62 |
| 28.85 | 19 |
| 30.07 | 100 |
| 37.62 | 29 |
| 39.36 | 25 |
| 43.05 | 90 |
| 53.42 | 19 |
| 65.02 | 20 |

Atomic structure:
```
data_NaAgIF
_chemical_formula_sum 'Na2 Ag2 I2 F2'
_space_group_name_H-M_alt 'P 1'
_space_group_IT_number 1
_cell_length_a 13.9597
_cell_length_b 13.9597
_cell_length_c 13.9597
_cell_angle_alpha 17.30
_cell_angle_beta 17.30
_cell_angle_gamma 17.30
loop_
_space_group_symop_operation_xyz
'x,y,z'
loop_
_atom_site_label
_atom_site_type_symbol
_atom_site_fract_x
_atom_site_fract_y
_atom_site_fract_z
Na1 Na 0.0000 0.0000 0.0000
Na2 Na 0.5000 0.5000 0.5000
Ag1 Ag 0.2433 0.2433 0.2433
Ag2 Ag 0.7567 0.7567 0.7567
I1 I 0.3835 0.3835 0.3835
I2 I 0.6165 0.6165 0.6165
F1 F 0.1914 0.1914 0.1914
F2 F 0.8086 0.8086 0.8086
```

2.
For LiBePb2, a cell relaxed with GGA-PBE gives the calculated X-ray powder pattern in this record (a wavelength of 1.5418 Å).
Intensities are scaled so that the largest is 100.

Principal peaks in the range 2θ = 5–70°, low angle first:
| Position (°2θ) | I (rel.) |
| --- | --- |
| 25.02 | 51 |
| 25.69 | 100 |
| 31.99 | 33 |
| 36.17 | 91 |
| 40.86 | 17 |
| 41.03 | 29 |
| 48.51 | 18 |
| 52.81 | 16 |
| 53.31 | 14 |
| 58.28 | 19 |
| 59.29 | 20 |
| 59.76 | 22 |

Atomic structure:
```
data_LiBePb2
_chemical_formula_sum 'Li1 Be1 Pb2'
_space_group_name_H-M_alt 'P 1'
_space_group_IT_number 1
_cell_length_a 5.0375
_cell_length_b 5.0375
_cell_length_c 5.0375
_cell_angle_alpha 127.99
_cell_angle_beta 112.51
_cell_angle_gamma 90.09
loop_
_space_group_symop_operation_xyz
'x,y,z'
loop_
_atom_site_label
_atom_site_type_symbol
_atom_site_fract_x
_atom_site_fract_y
_atom_site_fract_z
Li1 Li 0.0000 0.0000 0.0000
Be1 Be 0.5000 0.5000 0.0000
Pb1 Pb 0.2658 0.7658 0.5000
Pb2 Pb 0.7342 0.2342 0.5000
```

3.
For Th8TcOs2, a cell relaxed with GGA-PBE gives the calculated X-ray powder pattern in this record (a wavelength of 1.5418 Å).
Intensities are scaled so that the largest is 100.

Principal peaks in the range 2θ = 5–70°, low angle first:
| Position (°2θ) | I (rel.) |
| --- | --- |
| 15.27 | 19 |
| 26.59 | 30 |
| 29.96 | 59 |
| 30.09 | 83 |
| 31.49 | 100 |
| 33.51 | 65 |
| 33.82 | 39 |
| 34.80 | 37 |
| 35.88 | 55 |
| 38.07 | 67 |
| 53.31 | 23 |
| 61.71 | 17 |

Atomic structure:
```
data_Th8TcOs2
_chemical_formula_sum 'Th8 Tc1 Os2'
_space_group_name_H-M_alt 'P 1'
_space_group_IT_number 1
_cell_length_a 7.7158
_cell_length_b 7.7158
_cell_length_c 6.1359
_cell_angle_alpha 100.03
_cell_angle_beta 100.03
_cell_angle_gamma 115.21
loop_
_space_group_symop_operation_xyz
'x,y,z'
loop_
_atom_site_label
_atom_site_type_symbol
_atom_site_fract_x
_atom_site_fract_y
_atom_site_fract_z
Th1 Th 0.0000 0.0000 0.0000
Th2 Th 0.0224 0.2699 0.5566
Th3 Th 0.1423 0.5657 0.1721
Th4 Th 0.2699 0.0224 0.5566
Th5 Th 0.4635 0.7112 0.7746
Th6 Th 0.5657 0.1423 0.1721
Th7 Th 0.7112 0.4635 0.7746
Th8 Th 0.7325 0.7325 0.3640
Tc1 Tc 0.3670 0.3670 0.3149
Os1 Os 0.0798 0.6807 0.6879
Os2 Os 0.6807 0.0798 0.6879
```

4.
For K4CaPa3O12, a cell relaxed with GGA-PBE gives the calculated X-ray powder pattern in this record (a wavelength of 1.5418 Å).
Intensities are scaled so that the largest is 100.

Principal peaks in the range 2θ = 5–70°, low angle first:
| Position (°2θ) | I (rel.) |
| --- | --- |
| 14.20 | 27 |
| 20.13 | 68 |
| 24.72 | 15 |
| 28.62 | 100 |
| 35.25 | 8 |
| 38.17 | 9 |
| 40.92 | 33 |
| 46.01 | 33 |
| 50.70 | 42 |
| 59.26 | 21 |
| 63.25 | 16 |
| 67.11 | 19 |

Atomic structure:
```
data_K4CaPa3O12
_chemical_formula_sum 'K4 Ca1 Pa3 O12'
_space_group_name_H-M_alt 'P 1'
_space_group_IT_number 1
_cell_length_a 7.6393
_cell_length_b 7.6393
_cell_length_c 7.6393
_cell_angle_alpha 109.47
_cell_angle_beta 109.47
_cell_angle_gamma 109.47
loop_
_space_group_symop_operation_xyz
'x,y,z'
loop_
_atom_site_label
_atom_site_type_symbol
_atom_site_fract_x
_atom_site_fract_y
_atom_site_fract_z
K1 K 0.0000 0.0000 0.5000
K2 K 0.0000 0.5000 0.0000
K3 K 0.5000 0.0000 0.0000
K4 K 0.5000 0.5000 0.5000
Ca1 Ca 0.0000 0.0000 0.0000
Pa1 Pa 0.0000 0.5000 0.5000
Pa2 Pa 0.5000 0.0000 0.5000
Pa3 Pa 0.5000 0.5000 0.0000
O1 O 0.0000 0.2687 0.2687
O2 O 0.0000 0.7313 0.7313
O3 O 0.2500 0.5000 0.7500
O4 O 0.2500 0.7500 0.5000
O5 O 0.2687 0.0000 0.2687
O6 O 0.2687 0.2687 0.0000
O7 O 0.5000 0.2500 0.7500
O8 O 0.5000 0.7500 0.2500
O9 O 0.7313 0.0000 0.7313
O10 O 0.7313 0.7313 0.0000
O11 O 0.7500 0.2500 0.5000
O12 O 0.7500 0.5000 0.2500
```

5.
For Pm4Pd4Au, a cell relaxed with GGA-PBE gives the calculated X-ray powder pattern in this record (a wavelength of 1.5418 Å).
Intensities are scaled so that the largest is 100.

Principal peaks in the range 2θ = 5–70°, low angle first:
| Position (°2θ) | I (rel.) |
| --- | --- |
| 18.25 | 21 |
| 27.35 | 35 |
| 28.72 | 28 |
| 30.65 | 31 |
| 32.19 | 100 |
| 33.95 | 16 |
| 36.98 | 14 |
| 41.06 | 18 |
| 42.50 | 58 |
| 45.04 | 53 |
| 46.17 | 23 |
| 61.50 | 15 |

Atomic structure:
```
data_Pm4Pd4Au
_chemical_formula_sum 'Pm8 Pd8 Au2'
_space_group_name_H-M_alt 'P 1'
_space_group_IT_number 1
_cell_length_a 8.7925
_cell_length_b 8.7925
_cell_length_c 5.8342
_cell_angle_alpha 90.00
_cell_angle_beta 90.00
_cell_angle_gamma 90.00
loop_
_space_group_symop_operation_xyz
'x,y,z'
loop_
_atom_site_label
_atom_site_type_symbol
_atom_site_fract_x
_atom_site_fract_y
_atom_site_fract_z
Pm1 Pm 0.0316 0.7001 0.0370
Pm2 Pm 0.2001 0.9684 0.5370
Pm3 Pm 0.2999 0.5316 0.5370
Pm4 Pm 0.4684 0.7999 0.0370
Pm5 Pm 0.5316 0.2001 0.9630
Pm6 Pm 0.7001 0.4684 0.4630
Pm7 Pm 0.7999 0.0316 0.4630
Pm8 Pm 0.9684 0.2999 0.9630
Pd1 Pd 0.0073 0.6679 0.5199
Pd2 Pd 0.1679 0.9927 0.0199
Pd3 Pd 0.3321 0.5073 0.0199
Pd4 Pd 0.4927 0.8321 0.5199
Pd5 Pd 0.5073 0.1679 0.4801
Pd6 Pd 0.6679 0.4927 0.9801
Pd7 Pd 0.8321 0.0073 0.9801
Pd8 Pd 0.9927 0.3321 0.4801
Au1 Au 0.2500 0.2500 0.2500
Au2 Au 0.7500 0.7500 0.7500
```

6.
For Na10B19C, a cell relaxed with GGA-PBE gives the calculated X-ray powder pattern in this record (a wavelength of 1.5418 Å).
Intensities are scaled so that the largest is 100.

Principal peaks in the range 2θ = 5–70°, low angle first:
| Position (°2θ) | I (rel.) |
| --- | --- |
| 20.52 | 3 |
| 34.27 | 22 |
| 34.76 | 9 |
| 40.27 | 100 |
| 40.70 | 52 |
| 41.73 | 35 |
| 55.06 | 11 |
| 55.40 | 5 |
| 61.04 | 9 |
| 62.00 | 18 |
| 65.11 | 1 |
| 66.04 | 2 |

Atomic structure:
```
data_Na10B19C
_chemical_formula_sum 'Na10 B19 C1'
_space_group_name_H-M_alt 'P 1'
_space_group_IT_number 1
_cell_length_a 8.6581
_cell_length_b 8.0173
_cell_length_c 8.0173
_cell_angle_alpha 142.45
_cell_angle_beta 90.00
_cell_angle_gamma 90.00
loop_
_space_group_symop_operation_xyz
'x,y,z'
loop_
_atom_site_label
_atom_site_type_symbol
_atom_site_fract_x
_atom_site_fract_y
_atom_site_fract_z
Na1 Na 0.2488 0.0000 0.0000
Na2 Na 0.2488 0.4013 0.6007
Na3 Na 0.2488 0.6007 0.4013
Na4 Na 0.2502 0.2045 0.8038
Na5 Na 0.2502 0.8038 0.2045
Na6 Na 0.7498 0.2045 0.8038
Na7 Na 0.7498 0.8038 0.2045
Na8 Na 0.7512 0.0000 0.0000
Na9 Na 0.7512 0.4013 0.6007
Na10 Na 0.7512 0.6007 0.4013
B1 B 0.0000 0.0701 0.2738
B2 B 0.0000 0.1373 0.5352
B3 B 0.0000 0.2738 0.0701
B4 B 0.0000 0.3234 0.3234
B5 B 0.0000 0.4790 0.8814
B6 B 0.0000 0.5352 0.1373
B7 B 0.0000 0.6670 0.6670
B8 B 0.0000 0.7302 0.9262
B9 B 0.0000 0.8814 0.4790
B10 B 0.0000 0.9262 0.7302
B11 B 0.5000 0.0651 0.2665
B12 B 0.5000 0.1357 0.5310
B13 B 0.5000 0.2665 0.0651
B14 B 0.5000 0.3443 0.3443
B15 B 0.5000 0.4809 0.8808
B16 B 0.5000 0.5310 0.1357
B17 B 0.5000 0.7301 0.9124
B18 B 0.5000 0.8808 0.4809
B19 B 0.5000 0.9124 0.7301
C1 C 0.5000 0.6613 0.6613
```

7.
For ZrTi5Co6, a cell relaxed with GGA-PBE gives the calculated X-ray powder pattern in this record (a wavelength of 1.5418 Å).
Intensities are scaled so that the largest is 100.

Principal peaks in the range 2θ = 5–70°, low angle first:
| Position (°2θ) | I (rel.) |
| --- | --- |
| 20.09 | 1 |
| 22.24 | 1 |
| 26.57 | 2 |
| 28.21 | 1 |
| 33.38 | 2 |
| 36.79 | 1 |
| 42.14 | 100 |
| 42.91 | 48 |
| 59.93 | 8 |
| 62.22 | 7 |
| 62.37 | 7 |
| 63.14 | 1 |

Atomic structure:
```
data_ZrTi5Co6
_chemical_formula_sum 'Zr1 Ti5 Co6'
_space_group_name_H-M_alt 'P 1'
_space_group_IT_number 1
_cell_length_a 4.2129
_cell_length_b 6.1743
_cell_length_c 6.6733
_cell_angle_alpha 90.00
_cell_angle_beta 108.53
_cell_angle_gamma 90.00
loop_
_space_group_symop_operation_xyz
'x,y,z'
loop_
_atom_site_label
_atom_site_type_symbol
_atom_site_fract_x
_atom_site_fract_y
_atom_site_fract_z
Zr1 Zr 0.0000 0.0000 0.0000
Ti1 Ti 0.0000 0.5000 0.0000
Ti2 Ti 0.3286 0.0000 0.6574
Ti3 Ti 0.3334 0.5000 0.6668
Ti4 Ti 0.6666 0.5000 0.3332
Ti5 Ti 0.6714 0.0000 0.3426
Co1 Co 0.1712 0.2605 0.3422
Co2 Co 0.1712 0.7395 0.3422
Co3 Co 0.5000 0.2673 0.0000
Co4 Co 0.5000 0.7327 0.0000
Co5 Co 0.8288 0.2605 0.6578
Co6 Co 0.8288 0.7395 0.6578
```

8.
For Cs3PmI8, a cell relaxed with GGA-PBE gives the calculated X-ray powder pattern in this record (a wavelength of 1.5418 Å).
Intensities are scaled so that the largest is 100.

Principal peaks in the range 2θ = 5–70°, low angle first:
| Position (°2θ) | I (rel.) |
| --- | --- |
| 11.38 | 14 |
| 17.61 | 52 |
| 20.54 | 9 |
| 28.83 | 100 |
| 29.21 | 48 |
| 34.31 | 20 |
| 40.65 | 10 |
| 41.78 | 14 |
| 45.15 | 11 |
| 45.66 | 12 |
| 50.85 | 13 |
| 51.55 | 27 |

Atomic structure:
```
data_Cs3PmI8
_chemical_formula_sum 'Cs3 Pm1 I8'
_space_group_name_H-M_alt 'P 1'
_space_group_IT_number 1
_cell_length_a 10.7769
_cell_length_b 10.7769
_cell_length_c 10.7769
_cell_angle_alpha 132.69
_cell_angle_beta 132.69
_cell_angle_gamma 69.14
loop_
_space_group_symop_operation_xyz
'x,y,z'
loop_
_atom_site_label
_atom_site_type_symbol
_atom_site_fract_x
_atom_site_fract_y
_atom_site_fract_z
Cs1 Cs 0.0000 0.0000 0.0000
Cs2 Cs 0.2500 0.7500 0.5000
Cs3 Cs 0.7500 0.2500 0.5000
Pm1 Pm 0.5000 0.5000 0.0000
I1 I 0.1738 0.1738 0.5647
I2 I 0.1738 0.6091 0.0000
I3 I 0.3909 0.3909 0.5647
I4 I 0.3909 0.8262 0.0000
I5 I 0.6091 0.1738 0.0000
I6 I 0.6091 0.6091 0.4353
I7 I 0.8262 0.3909 0.0000
I8 I 0.8262 0.8262 0.4353
```

9.
For Re2SiCl, a cell relaxed with GGA-PBE gives the calculated X-ray powder pattern in this record (a wavelength of 1.5418 Å).
Intensities are scaled so that the largest is 100.

Principal peaks in the range 2θ = 5–70°, low angle first:
| Position (°2θ) | I (rel.) |
| --- | --- |
| 13.04 | 100 |
| 28.27 | 65 |
| 28.71 | 97 |
| 31.25 | 31 |
| 38.96 | 53 |
| 39.84 | 39 |
| 40.73 | 71 |
| 42.94 | 46 |
| 49.11 | 35 |
| 49.57 | 39 |
| 49.84 | 54 |
| 58.29 | 35 |

Atomic structure:
```
data_Re2SiCl
_chemical_formula_sum 'Re2 Si1 Cl1'
_space_group_name_H-M_alt 'P 1'
_space_group_IT_number 1
_cell_length_a 3.1099
_cell_length_b 3.1568
_cell_length_c 6.7884
_cell_angle_alpha 90.00
_cell_angle_beta 90.00
_cell_angle_gamma 90.00
loop_
_space_group_symop_operation_xyz
'x,y,z'
loop_
_atom_site_label
_atom_site_type_symbol
_atom_site_fract_x
_atom_site_fract_y
_atom_site_fract_z
Re1 Re 0.0000 0.0000 0.1785
Re2 Re 0.0000 0.0000 0.8215
Si1 Si 0.5000 0.5000 0.0000
Cl1 Cl 0.0000 0.5000 0.5000
```

10.
For CsB3H3, a cell relaxed with GGA-PBE gives the calculated X-ray powder pattern in this record (a wavelength of 1.5418 Å).
Intensities are scaled so that the largest is 100.

Principal peaks in the range 2θ = 5–70°, low angle first:
| Position (°2θ) | I (rel.) |
| --- | --- |
| 15.93 | 6 |
| 18.42 | 72 |
| 26.16 | 100 |
| 32.18 | 38 |
| 37.33 | 21 |
| 41.93 | 49 |
| 46.16 | 33 |
| 53.82 | 11 |
| 57.38 | 28 |
| 60.80 | 18 |
| 64.11 | 15 |
| 67.33 | 3 |

Atomic structure:
```
data_CsB3H3
_chemical_formula_sum 'Cs2 B6 H6'
_space_group_name_H-M_alt 'P 1'
_space_group_IT_number 1
_cell_length_a 6.8130
_cell_length_b 6.8130
_cell_length_c 6.8130
_cell_angle_alpha 60.00
_cell_angle_beta 60.00
_cell_angle_gamma 60.00
loop_
_space_group_symop_operation_xyz
'x,y,z'
loop_
_atom_site_label
_atom_site_type_symbol
_atom_site_fract_x
_atom_site_fract_y
_atom_site_fract_z
Cs1 Cs 0.2500 0.2500 0.2500
Cs2 Cs 0.7500 0.7500 0.7500
B1 B 0.1270 0.1270 0.8730
B2 B 0.1270 0.8730 0.1270
B3 B 0.1270 0.8730 0.8730
B4 B 0.8730 0.1270 0.1270
B5 B 0.8730 0.1270 0.8730
B6 B 0.8730 0.8730 0.1270
H1 H 0.2526 0.2526 0.7474
H2 H 0.2526 0.7474 0.2526
H3 H 0.2526 0.7474 0.7474
H4 H 0.7474 0.2526 0.2526
H5 H 0.7474 0.2526 0.7474
H6 H 0.7474 0.7474 0.2526
```

11.
For Ba3Ag2Hg, a cell relaxed with GGA-PBE gives the calculated X-ray powder pattern in this record (a wavelength of 1.5418 Å).
Intensities are scaled so that the largest is 100.

Principal peaks in the range 2θ = 5–70°, low angle first:
| Position (°2θ) | I (rel.) |
| --- | --- |
| 6.98 | 5 |
| 13.99 | 1 |
| 22.69 | 2 |
| 25.79 | 2 |
| 30.31 | 100 |
| 30.67 | 49 |
| 42.87 | 10 |
| 43.93 | 18 |
| 53.63 | 20 |
| 54.30 | 38 |
| 63.06 | 12 |
| 63.87 | 6 |

Atomic structure:
```
data_Ba3Ag2Hg
_chemical_formula_sum 'Ba3 Ag2 Hg1'
_space_group_name_H-M_alt 'P 1'
_space_group_IT_number 1
_cell_length_a 4.1221
_cell_length_b 4.1221
_cell_length_c 12.6579
_cell_angle_alpha 90.00
_cell_angle_beta 90.00
_cell_angle_gamma 90.00
loop_
_space_group_symop_operation_xyz
'x,y,z'
loop_
_atom_site_label
_atom_site_type_symbol
_atom_site_fract_x
_atom_site_fract_y
_atom_site_fract_z
Ba1 Ba 0.0000 0.0000 0.0000
Ba2 Ba 0.0000 0.0000 0.3289
Ba3 Ba 0.0000 0.0000 0.6711
Ag1 Ag 0.5000 0.5000 0.1644
Ag2 Ag 0.5000 0.5000 0.8356
Hg1 Hg 0.5000 0.5000 0.5000
```

12.
For KEr4Te6, a cell relaxed with GGA-PBE gives the calculated X-ray powder pattern in this record (a wavelength of 1.5418 Å).
Intensities are scaled so that the largest is 100.

Principal peaks in the range 2θ = 5–70°, low angle first:
| Position (°2θ) | I (rel.) |
| --- | --- |
| 7.69 | 64 |
| 22.91 | 18 |
| 26.31 | 53 |
| 27.73 | 71 |
| 28.55 | 85 |
| 29.87 | 100 |
| 37.92 | 32 |
| 40.50 | 58 |
| 41.11 | 41 |
| 41.35 | 38 |
| 42.24 | 59 |
| 49.46 | 18 |

Atomic structure:
```
data_KEr4Te6
_chemical_formula_sum 'K2 Er8 Te12'
_space_group_name_H-M_alt 'P 1'
_space_group_IT_number 1
_cell_length_a 7.5665
_cell_length_b 7.5665
_cell_length_c 22.9991
_cell_angle_alpha 90.00
_cell_angle_beta 90.00
_cell_angle_gamma 146.26
loop_
_space_group_symop_operation_xyz
'x,y,z'
loop_
_atom_site_label
_atom_site_type_symbol
_atom_site_fract_x
_atom_site_fract_y
_atom_site_fract_z
K1 K 0.1607 0.8393 0.7500
K2 K 0.8393 0.1607 0.2500
Er1 Er 0.0922 0.9078 0.1306
Er2 Er 0.0922 0.9078 0.3694
Er3 Er 0.3649 0.6351 0.0397
Er4 Er 0.3649 0.6351 0.4603
Er5 Er 0.6351 0.3649 0.5397
Er6 Er 0.6351 0.3649 0.9603
Er7 Er 0.9078 0.0922 0.6306
Er8 Er 0.9078 0.0922 0.8694
Te1 Te 0.0000 0.0000 0.0000
Te2 Te 0.0000 0.0000 0.5000
Te3 Te 0.1565 0.8435 0.2500
Te4 Te 0.2715 0.7285 0.5822
Te5 Te 0.2715 0.7285 0.9178
Te6 Te 0.4563 0.5437 0.1554
Te7 Te 0.4563 0.5437 0.3446
Te8 Te 0.5437 0.4563 0.6554
Te9 Te 0.5437 0.4563 0.8446
Te10 Te 0.7285 0.2715 0.0822
Te11 Te 0.7285 0.2715 0.4178
Te12 Te 0.8435 0.1565 0.7500
```

13.
For Zr2Sc8Os, a cell relaxed with GGA-PBE gives the calculated X-ray powder pattern in this record (a wavelength of 1.5418 Å).
Intensities are scaled so that the largest is 100.

Principal peaks in the range 2θ = 5–70°, low angle first:
| Position (°2θ) | I (rel.) |
| --- | --- |
| 14.37 | 16 |
| 16.98 | 28 |
| 18.79 | 32 |
| 19.11 | 20 |
| 21.35 | 16 |
| 23.64 | 33 |
| 24.40 | 24 |
| 34.63 | 81 |
| 35.42 | 100 |
| 36.89 | 43 |
| 37.17 | 49 |
| 53.38 | 25 |

Atomic structure:
```
data_Zr2Sc8Os
_chemical_formula_sum 'Zr2 Sc8 Os1'
_space_group_name_H-M_alt 'P 1'
_space_group_IT_number 1
_cell_length_a 8.7113
_cell_length_b 8.7113
_cell_length_c 6.1977
_cell_angle_alpha 95.77
_cell_angle_beta 95.77
_cell_angle_gamma 32.24
loop_
_space_group_symop_operation_xyz
'x,y,z'
loop_
_atom_site_label
_atom_site_type_symbol
_atom_site_fract_x
_atom_site_fract_y
_atom_site_fract_z
Zr1 Zr 0.2200 0.2200 0.1450
Zr2 Zr 0.7800 0.7800 0.8550
Sc1 Sc 0.0285 0.0285 0.2712
Sc2 Sc 0.1657 0.1657 0.6603
Sc3 Sc 0.3517 0.3517 0.6033
Sc4 Sc 0.4071 0.4071 0.1057
Sc5 Sc 0.5929 0.5929 0.8943
Sc6 Sc 0.6483 0.6483 0.3967
Sc7 Sc 0.8343 0.8343 0.3397
Sc8 Sc 0.9715 0.9715 0.7288
Os1 Os 0.5000 0.5000 0.5000
```